Computed X-ray powder pattern
Compound: PmSmPu2N4
Radiation: Cu Kα, 1.54184 Å
Structure: the GGA-PBE geometry in Alexandria
Neutral-atom scattering factors, no anomalous dispersion.

Principal peaks in the range 2θ from 10° to 80°, sorted by position:
| hkl | two_theta | I_rel |
| --- | --- | --- |
| 0 0 2 | 31.00 | 100 |
| 2 0 0 | 31.13 | 33 |
| 1 1 1 | 35.98 | 90 |
| 0 2 0 | 51.71 | 32 |
| 2 0 2 | 51.89 | 31 |
| 2 2 0 | 61.58 | 46 |

Cell and atoms:
```
8
Lattice="6.097 0.000 0.000 0.000 3.535 0.000 -2.050 0.000 5.770" Properties=species:S:1:pos:R:3 pbc="T T T"
Pm 0.000 0.000 0.000
Sm -1.025 1.768 2.885
Pu 2.024 0.000 2.885
Pu 3.049 1.768 0.000
N 0.104 0.000 4.361
N 1.129 1.768 1.492
N 2.918 1.768 4.278
N 3.943 0.000 1.409
```